Entry 1:
Mg3BiPb2: theoretical XRD peak list (CuKα), based on a DFT-relaxed cell (PBE, Alexandria).
Lines closer than 0.1° are merged.

abc: 4.8629 8.4200 8.1641
angles: 90.00 106.70 90.00
Atoms (fractional coordinates):
Mg 0.0000 0.2424 0.0000
Mg 0.0000 0.7576 0.0000
Mg 0.3306 0.2530 0.6599
Mg 0.3306 0.7470 0.6599
Mg 0.6694 0.2530 0.3401
Mg 0.6694 0.7470 0.3401
Bi 0.1522 0.5000 0.3116
Bi 0.8478 0.5000 0.6884
Pb 0.1674 0.0000 0.3359
Pb 0.5000 0.0000 0.0000
Pb 0.5000 0.5000 0.0000
Pb 0.8326 0.0000 0.6641

Peak list (12 most intense, 5 to 70 degrees two-theta, low angle first)
two_theta  d [Å]  I_rel
21.1  4.210  89
24.9  3.575  59
25.2  3.537  59
32.9  2.725  100
33.1  2.708  99
34.4  2.607  43
37.0  2.431  37
40.7  2.216  33
43.0  2.105  55
56.2  1.638  21
56.4  1.631  19
57.9  1.591  21


Entry 2:
Na2Cd7Au: theoretical XRD peak list (CuKα), based on a DFT-relaxed cell (PBE, Alexandria).
Lines closer than 0.1° are merged.

abc: 7.6224 7.6224 7.6224
angles: 60.00 60.00 60.00
Atoms (fractional coordinates):
Na 0.2500 0.2500 0.2500
Na 0.7500 0.7500 0.7500
Cd 0.0000 0.0000 0.0000
Cd 0.2529 0.2529 0.7471
Cd 0.2529 0.7471 0.2529
Cd 0.2529 0.7471 0.7471
Cd 0.7471 0.2529 0.2529
Cd 0.7471 0.2529 0.7471
Cd 0.7471 0.7471 0.2529
Au 0.5000 0.5000 0.5000

Peak list (12 most intense, 5 to 70 degrees two-theta, low angle first)
two_theta  d [Å]  I_rel
14.2  6.224  6
16.4  5.390  100
23.3  3.811  6
28.7  3.112  27
33.2  2.695  83
37.3  2.410  53
47.7  1.906  59
50.8  1.797  27
56.6  1.625  11
59.4  1.556  20
62.1  1.495  12
69.8  1.347  9


Entry 3:
Mo3WSe2S6: theoretical XRD peak list (CuKα), based on a DFT-relaxed cell (PBE, Alexandria).
Lines closer than 0.1° are merged.

abc: 3.2209 3.2209 28.4710
angles: 90.00 90.00 120.00
Atoms (fractional coordinates):
Mo 0.0000 0.0000 0.0000
Mo 0.0000 0.0000 0.4912
Mo 0.3333 0.6667 0.7488
W 0.3333 0.6667 0.2464
Se 0.0000 0.0000 0.6887
Se 0.0000 0.0000 0.8089
S 0.0000 0.0000 0.1915
S 0.0000 0.0000 0.3012
S 0.3333 0.6667 0.0546
S 0.3333 0.6667 0.4366
S 0.3333 0.6667 0.5459
S 0.3333 0.6667 0.9454

Peak list (12 most intense, 5 to 70 degrees two-theta, low angle first)
two_theta  d [Å]  I_rel
6.2  14.236  29
12.4  7.118  100
32.1  2.789  20
32.2  2.776  5
32.7  2.737  8
34.5  2.597  14
37.4  2.405  49
45.5  1.992  37
51.3  1.779  5
56.0  1.643  5
57.2  1.610  14
58.8  1.571  12


Entry 4:
Ho4ErHg5: theoretical XRD peak list (CuKα), based on a DFT-relaxed cell (PBE, Alexandria).
Lines closer than 0.1° are merged.

abc: 3.7012 3.7012 18.5408
angles: 90.00 90.00 90.00
Atoms (fractional coordinates):
Ho 0.0000 0.0000 0.1002
Ho 0.0000 0.0000 0.3006
Ho 0.0000 0.0000 0.6994
Ho 0.0000 0.0000 0.8998
Er 0.0000 0.0000 0.5000
Hg 0.5000 0.5000 0.0000
Hg 0.5000 0.5000 0.2004
Hg 0.5000 0.5000 0.4010
Hg 0.5000 0.5000 0.5990
Hg 0.5000 0.5000 0.7996

Peak list (5 most intense, 5 to 70 degrees two-theta, low angle first)
two_theta  d [Å]  I_rel
24.0  3.704  1
34.2  2.619  100
49.2  1.852  18
55.5  1.656  1
61.3  1.512  38


Entry 5:
MgGaBiO4: theoretical XRD peak list (CuKα), based on a DFT-relaxed cell (PBE, Alexandria).
Lines closer than 0.1° are merged.

abc: 6.3782 6.3782 6.3782
angles: 119.57 119.53 90.79
Atoms (fractional coordinates):
Mg 0.5000 0.0000 0.0000
Mg 0.5000 0.5000 0.5000
Ga 0.1280 0.3780 0.7500
Ga 0.8720 0.6220 0.2500
Bi 0.0000 0.0000 0.0000
Bi 0.5000 0.0000 0.5000
O 0.2431 0.7381 0.5050
O 0.2627 0.2808 0.5181
O 0.2627 0.7447 0.9819
O 0.2669 0.2619 0.0050
O 0.7331 0.7381 0.9950
O 0.7373 0.2553 0.0181
O 0.7373 0.7192 0.4819
O 0.7569 0.2619 0.4950

Peak list (12 most intense, 5 to 70 degrees two-theta, low angle first)
two_theta  d [Å]  I_rel
17.0  5.218  69
19.8  4.479  38
27.8  3.210  39
32.7  2.735  100
33.1  2.707  48
34.4  2.610  33
39.7  2.270  20
43.7  2.070  18
44.8  2.025  18
52.4  1.747  25
57.4  1.605  18
57.8  1.594  34


Entry 6:
ScZnCu6: theoretical XRD peak list (CuKα), based on a DFT-relaxed cell (PBE, Alexandria).
Lines closer than 0.1° are merged.

abc: 4.7740 4.7740 4.7740
angles: 90.00 90.00 90.00
Atoms (fractional coordinates):
Sc 0.0000 0.0000 0.0000
Zn 0.5000 0.5000 0.5000
Cu 0.0000 0.2540 0.5000
Cu 0.0000 0.7460 0.5000
Cu 0.2540 0.5000 0.0000
Cu 0.5000 0.0000 0.2540
Cu 0.5000 0.0000 0.7460
Cu 0.7460 0.5000 0.0000

Peak list (7 most intense, 5 to 70 degrees two-theta, low angle first)
two_theta  d [Å]  I_rel
18.6  4.774  2
26.4  3.376  1
37.7  2.387  29
42.3  2.135  100
46.6  1.949  62
58.0  1.591  1
68.0  1.378  8


Entry 7:
Cs2CaNp2Se6: theoretical XRD peak list (CuKα), based on a DFT-relaxed cell (PBE, Alexandria).
Lines closer than 0.1° are merged.

abc: 7.3311 7.3311 8.8457
angles: 97.49 97.49 120.31
Atoms (fractional coordinates):
Cs 0.1618 0.8382 0.0000
Cs 0.8382 0.1618 0.0000
Ca 0.0000 0.0000 0.5000
Np 0.3340 0.6660 0.5000
Np 0.6660 0.3340 0.5000
Se 0.0559 0.4073 0.6804
Se 0.2933 0.2933 0.3186
Se 0.4073 0.0559 0.6804
Se 0.5927 0.9441 0.3196
Se 0.7067 0.7067 0.6814
Se 0.9441 0.5927 0.3196

Peak list (12 most intense, 5 to 70 degrees two-theta, low angle first)
two_theta  d [Å]  I_rel
10.4  8.537  69
13.9  6.359  20
15.7  5.647  34
19.6  4.528  18
20.8  4.269  15
28.0  3.190  100
28.3  3.151  49
34.5  2.598  18
37.4  2.403  31
42.7  2.120  18
42.9  2.109  46
52.0  1.759  27


Entry 8:
LiPd5Au4: theoretical XRD peak list (CuKα), based on a DFT-relaxed cell (PBE, Alexandria).
Lines closer than 0.1° are merged.

abc: 8.2506 9.0878 4.7649
angles: 90.00 90.00 90.00
Atoms (fractional coordinates):
Li 0.2500 0.2500 0.1694
Li 0.7500 0.7500 0.8306
Pd 0.0831 0.5041 0.2424
Pd 0.0831 0.9959 0.2424
Pd 0.2500 0.7500 0.0651
Pd 0.4169 0.5041 0.2424
Pd 0.4169 0.9959 0.2424
Pd 0.5831 0.0041 0.7576
Pd 0.5831 0.4959 0.7576
Pd 0.7500 0.2500 0.9349
Pd 0.9169 0.0041 0.7576
Pd 0.9169 0.4959 0.7576
Au 0.0613 0.7500 0.5782
Au 0.2500 0.0276 0.7433
Au 0.2500 0.4724 0.7433
Au 0.4387 0.7500 0.5782
Au 0.5613 0.2500 0.4218
Au 0.7500 0.5276 0.2567
Au 0.7500 0.9724 0.2567
Au 0.9387 0.2500 0.4218

Peak list (12 most intense, 5 to 70 degrees two-theta, low angle first)
two_theta  d [Å]  I_rel
14.5  6.109  16
19.5  4.544  10
29.2  3.054  12
31.5  2.844  13
34.9  2.571  15
37.8  2.382  22
39.1  2.304  20
39.7  2.272  29
42.9  2.110  100
48.6  1.872  11
55.9  1.644  10
68.2  1.375  18